Starting from a structure optimized by DFT (PBE), the powder diffractogram of Gd2CCl2 was simulated for Cu Kα (λ = 1.5418 Å).

Most intense lines, 5 to 70 degrees two-theta, most intense first:
2θ 33.3, 2.689 Å, I = 1000, (1 0 2)
2θ 9.4, 9.448 Å, I = 824, (0 0 1)
2θ 28.9, 3.090 Å, I = 408, (0 1 1)
2θ 27.3, 3.270 Å, I = 267, (1 0 0)
2θ 48.2, 1.888 Å, I = 261, (1 1 0)
2θ 47.5, 1.915 Å, I = 215, (0 1 4)
2θ 59.9, 1.545 Å, I = 178, (0 2 2)
2θ 39.7, 2.268 Å, I = 153, (1 0 3)
2θ 56.2, 1.636 Å, I = 146, (0 1 5)
2θ 63.0, 1.475 Å, I = 131, (1 1 4)

Crystal structure
abc: 3.7758 3.7758 9.4480
angles: 90.00 90.00 120.00
Space group P-3m1 (No. 164)
Symmetry-distinct sites (fractional):
Gd1 0.3333 0.6667 0.3544 x2
C1 0.0000 0.0000 0.5000 x1
Cl1 0.3333 0.6667 0.8312 x2

***

Starting from a structure optimized by DFT (PBE), the powder diffractogram of CeNdZn2 was simulated for Cu Kα (λ = 1.5418 Å).

Most intense lines, 5 to 70 degrees two-theta, most intense first:
2θ 33.0, 2.718 Å, I = 1000, (2 2 0)
2θ 58.9, 1.569 Å, I = 370, (4 2 2)
2θ 47.3, 1.922 Å, I = 180, (4 0 0)
2θ 23.1, 3.844 Å, I = 132, (2 0 0)
2θ 69.1, 1.359 Å, I = 113, (4 4 0)
2θ 53.3, 1.719 Å, I = 58, (4 2 0)
2θ 40.7, 2.219 Å, I = 41, (2 2 2)

Crystal structure
abc: 7.687 7.687 7.687
angles: 90.00 90.00 90.00
Space group Fm-3m (No. 225)
Symmetry-distinct sites (fractional):
Ce1 0.000 0.000 0.000 x4
Nd1 0.000 0.000 0.500 x4
Zn1 0.250 0.250 0.250 x8